This entry pairs a crystal structure of Ac5Pb2 with its theoretical X-ray powder pattern. Radiation: Cu Kα, 1.54184 Å. Structure: a cell relaxed with PBE.

Crystal structure
```
Ac5Pb2
1.0
2.564 -21.736 0.000
2.564 21.736 0.000
0.000 0.000 5.104
Ac Pb
10 4
Cartesian
2.564 20.277 3.828
2.564 14.149 1.276
2.564 10.865 3.828
2.564 4.838 1.276
2.564 1.693 3.828
2.564 -1.693 1.276
2.564 -4.838 3.828
2.564 -10.865 1.276
2.564 -14.149 3.828
2.564 -20.277 1.276
2.564 17.550 1.276
2.564 8.270 1.276
2.564 -8.270 3.828
2.564 -17.550 3.828
```

Peak list (10 most intense, 10° ≤ 2θ ≤ 90°, most intense first)
Position (°2θ)	d/Å	I (rel.)
26.69	3.340	1000
30.88	2.895	963
28.75	3.105	432
35.00	2.564	360
35.17	2.552	355
50.46	1.809	264
45.90	1.977	264
46.04	1.972	246
59.11	1.563	245
60.23	1.536	175